# 1
Theoretical powder diffractogram
Compound: Fe5Pb4
Radiation: Cu Kα
Structure: a crystal structure in Alexandria, relaxed with GGA-PBE
Lines closer than 0.1° are merged.

Largest 10 diffraction maxima, in order of rising 2θ, 10 to 80 degrees two-theta:
26.6 deg, I 44
30.4 deg, I 54
35.9 deg, I 100
40.3 deg, I 27
44.5 deg, I 19
49.0 deg, I 16
52.6 deg, I 14
56.9 deg, I 28
61.6 deg, I 15
76.3 deg, I 15

Crystal structure
a = 7.0116 Å, b = 7.0116 Å, c = 7.0116 Å
α = 94.84°, β = 94.84°, γ = 146.22°
Fractional coordinates of all 9 atoms:
Fe (0.0000, 0.0000, 0.0000)
Fe (0.3758, 0.3758, 0.7515)
Fe (0.3758, 0.6242, 0.0000)
Fe (0.6242, 0.3758, 0.0000)
Fe (0.6242, 0.6242, 0.2485)
Pb (0.0000, 0.2981, 0.2981)
Pb (0.0000, 0.7019, 0.7019)
Pb (0.2981, 0.0000, 0.2981)
Pb (0.7019, 0.0000, 0.7019)



# 2
Theoretical powder diffractogram
Compound: PmPr3Au7
Radiation: Cu Kα
Structure: a crystal structure in Alexandria, relaxed with GGA-PBE
Lines closer than 0.1° are merged.

Largest 10 diffraction maxima, in order of rising 2θ, 10 to 80 degrees two-theta:
23.3 deg, I 39
31.3 deg, I 100
33.5 deg, I 76
36.2 deg, I 30
37.0 deg, I 40
38.1 deg, I 62
42.0 deg, I 56
43.8 deg, I 30
46.9 deg, I 42
62.0 deg, I 30

Crystal structure
a = 11.4483 Å, b = 11.4483 Å, c = 12.9104 Å
α = 90.00°, β = 90.00°, γ = 160.50°
Fractional coordinates of all 22 atoms:
Pm (0.0046, 0.9954, 0.7500)
Pm (0.9954, 0.0046, 0.2500)
Pr (0.1413, 0.8587, 0.0586)
Pr (0.1413, 0.8587, 0.4414)
Pr (0.1884, 0.8116, 0.7500)
Pr (0.8116, 0.1884, 0.2500)
Pr (0.8587, 0.1413, 0.5586)
Pr (0.8587, 0.1413, 0.9414)
Au (0.2785, 0.7215, 0.0679)
Au (0.2785, 0.7215, 0.4321)
Au (0.3816, 0.6184, 0.7500)
Au (0.4028, 0.5972, 0.1345)
Au (0.4028, 0.5972, 0.3655)
Au (0.4640, 0.5360, 0.5806)
Au (0.4640, 0.5360, 0.9194)
Au (0.5360, 0.4640, 0.0806)
Au (0.5360, 0.4640, 0.4194)
Au (0.5972, 0.4028, 0.6345)
Au (0.5972, 0.4028, 0.8655)
Au (0.6184, 0.3816, 0.2500)
Au (0.7215, 0.2785, 0.5679)
Au (0.7215, 0.2785, 0.9321)



# 3
Theoretical powder diffractogram
Compound: RbNb4I7
Radiation: Cu Kα
Structure: a crystal structure in Alexandria, relaxed with GGA-PBE
Lines closer than 0.1° are merged.

Largest 10 diffraction maxima, in order of rising 2θ, 10 to 80 degrees two-theta:
12.3 deg, I 62
24.8 deg, I 87
26.4 deg, I 82
26.7 deg, I 96
27.3 deg, I 100
31.3 deg, I 50
37.0 deg, I 55
39.1 deg, I 79
39.8 deg, I 73
48.7 deg, I 52

Crystal structure
a = 4.6040 Å, b = 20.9168 Å, c = 9.9536 Å
α = 90.00°, β = 90.00°, γ = 90.00°
Fractional coordinates of all 24 atoms:
Rb (0.2500, 0.2500, 0.1781)
Rb (0.7500, 0.7500, 0.8219)
Nb (0.2500, 0.5208, 0.6451)
Nb (0.2500, 0.5519, 0.3856)
Nb (0.2500, 0.9481, 0.3856)
Nb (0.2500, 0.9792, 0.6451)
Nb (0.7500, 0.0208, 0.3549)
Nb (0.7500, 0.0519, 0.6144)
Nb (0.7500, 0.4481, 0.6144)
Nb (0.7500, 0.4792, 0.3549)
I (0.2500, 0.0414, 0.1728)
I (0.2500, 0.1080, 0.7520)
I (0.2500, 0.3920, 0.7520)
I (0.2500, 0.4586, 0.1728)
I (0.2500, 0.6521, 0.5749)
I (0.2500, 0.7500, 0.0756)
I (0.2500, 0.8479, 0.5749)
I (0.7500, 0.1521, 0.4251)
I (0.7500, 0.2500, 0.9244)
I (0.7500, 0.3479, 0.4251)
I (0.7500, 0.5414, 0.8272)
I (0.7500, 0.6080, 0.2480)
I (0.7500, 0.8920, 0.2480)
I (0.7500, 0.9586, 0.8272)